Diffraction record for Ho8Er5Mg. The powder diffraction line list is calculated, not measured: it uses DFT lattice parameters and positions (GGA-PBE) and a wavelength of 1.5418 Å.
Kinematic intensities with the Lorentz-polarization factor, no thermal factor.

Principal peaks in the range 15° ≤ 2θ ≤ 90°, sorted by position:
- 28.71 deg, d = 3.109 Å, intensity 419, hkl 1 0 3
- 29.60 deg, d = 3.018 Å, intensity 527, hkl 3 0 1
- 29.71 deg, d = 3.007 Å, intensity 717, hkl 3 1 0
- 34.47 deg, d = 2.602 Å, intensity 1000, hkl 1 2 3
- 34.94 deg, d = 2.568 Å, intensity 343, hkl 3 1 2
- 35.23 deg, d = 2.548 Å, intensity 414, hkl 3 2 1

```
data_Ho8Er5Mg
_space_group_name_H-M_alt 'I -4'
_space_group_IT_number 82
_space_group_name_Hall 'I -4'
_cell_length_a 9.509
_cell_length_b 9.509
_cell_length_c 9.869
_cell_angle_alpha 90.00
_cell_angle_beta 90.00
_cell_angle_gamma 90.00
loop_
_atom_site_label
_atom_site_type_symbol
_atom_site_fract_x
_atom_site_fract_y
_atom_site_fract_z
Ho1 Ho 0.068 0.327 0.409
Ho2 Ho 0.091 0.180 0.747
Er1 Er 0.000 0.000 0.500
Er2 Er 0.105 0.207 0.080
Mg1 Mg 0.000 0.500 0.750
```

Diffraction record for CeIrBr. The powder diffraction line list is calculated, not measured: it uses DFT lattice parameters and positions (GGA-PBE) and a wavelength of 1.5418 Å.
Kinematic intensities with the Lorentz-polarization factor, no thermal factor.

Principal peaks in the range 15° ≤ 2θ ≤ 90°, sorted by position:
- 30.41 deg, d = 2.939 Å, intensity 1000, hkl 1 0 7
- 32.20 deg, d = 2.780 Å, intensity 430, hkl 0 1 8
- 38.33 deg, d = 2.349 Å, intensity 363, hkl 0 1 11
- 41.74 deg, d = 2.164 Å, intensity 804, hkl 1 1 0
- 42.57 deg, d = 2.124 Å, intensity 406, hkl 1 1 3
- 66.69 deg, d = 1.402 Å, intensity 387, hkl 1 1 18

```
data_CeIrBr
_space_group_name_H-M_alt 'R -3 m'
_space_group_IT_number 166
_space_group_name_Hall '-R 3 2"'
_cell_length_a 4.3282
_cell_length_b 4.3282
_cell_length_c 33.1477
_cell_angle_alpha 90.00
_cell_angle_beta 90.00
_cell_angle_gamma 120.00
loop_
_atom_site_label
_atom_site_type_symbol
_atom_site_fract_x
_atom_site_fract_y
_atom_site_fract_z
Ce1 Ce 0.0000 0.0000 0.0570
Ir1 Ir 0.0000 0.0000 0.3349
Br1 Br 0.0000 0.0000 0.2200
```

Diffraction record for AcNd5Th2. The powder diffraction line list is calculated, not measured: it uses DFT lattice parameters and positions (GGA-PBE) and a wavelength of 1.5418 Å.
Kinematic intensities with the Lorentz-polarization factor, no thermal factor.

Principal peaks in the range 15° ≤ 2θ ≤ 90°, sorted by position:
- 28.64 deg, d = 3.117 Å, intensity 329, hkl 1 1 2
- 29.64 deg, d = 3.014 Å, intensity 599, hkl 1 2 1
- 30.26 deg, d = 2.954 Å, intensity 1000, hkl 0 2 4
- 31.23 deg, d = 2.864 Å, intensity 833, hkl 0 4 0
- 44.75 deg, d = 2.025 Å, intensity 257, hkl 1 4 3
- 59.29 deg, d = 1.559 Å, intensity 303, hkl 2 2 4

```
data_AcNd5Th2
_space_group_name_H-M_alt 'I m m m'
_space_group_IT_number 71
_space_group_name_Hall '-I 2 2'
_cell_length_a 3.670
_cell_length_b 11.440
_cell_length_c 13.797
_cell_angle_alpha 90.00
_cell_angle_beta 90.00
_cell_angle_gamma 90.00
loop_
_atom_site_label
_atom_site_type_symbol
_atom_site_fract_x
_atom_site_fract_y
_atom_site_fract_z
Ac1 Ac 0.000 0.000 0.000
Nd1 Nd 0.000 0.228 0.367
Nd2 Nd 0.000 0.500 0.000
Th1 Th 0.000 0.500 0.257
```

Diffraction record for UAlIrC. The powder diffraction line list is calculated, not measured: it uses DFT lattice parameters and positions (GGA-PBE) and a wavelength of 1.5418 Å.
Kinematic intensities with the Lorentz-polarization factor, no thermal factor.

Principal peaks in the range 15° ≤ 2θ ≤ 90°, sorted by position:
- 25.27 deg, d = 3.524 Å, intensity 460, hkl 1 0 1
- 30.51 deg, d = 2.930 Å, intensity 468, hkl 0 0 3
- 30.89 deg, d = 2.895 Å, intensity 684, hkl 1 0 2
- 34.52 deg, d = 2.598 Å, intensity 1000, hkl 1 1 1
- 38.94 deg, d = 2.313 Å, intensity 472, hkl 1 1 2
- 53.61 deg, d = 1.709 Å, intensity 455, hkl 1 1 4

```
data_UAlIrC
_space_group_name_H-M_alt 'P 4/n m m'
_space_group_IT_number 129
_cell_length_a 3.846
_cell_length_b 3.846
_cell_length_c 8.791
_cell_angle_alpha 90.00
_cell_angle_beta 90.00
_cell_angle_gamma 90.00
loop_
_space_group_symop_operation_xyz
'x,y,z'
'-x,-y,-z'
'-y+1/2,x,z'
'y+1/2,-x,-z'
'-x+1/2,-y+1/2,z'
'x+1/2,y+1/2,-z'
'y,-x+1/2,z'
'-y,x+1/2,-z'
'x+1/2,-y,-z'
'-x+1/2,y,z'
'-y,-x,-z'
'y,x,z'
'-x,y+1/2,-z'
'x,-y+1/2,z'
'y+1/2,x+1/2,-z'
'-y+1/2,-x+1/2,z'
loop_
_atom_site_label
_atom_site_type_symbol
_atom_site_fract_x
_atom_site_fract_y
_atom_site_fract_z
U1 U 0.250 0.250 0.146
Al1 Al 0.250 0.250 0.672
Ir1 Ir 0.250 0.750 0.500
C1 C 0.250 0.250 0.894
```

Diffraction record for NdYEr2. The powder diffraction line list is calculated, not measured: it uses DFT lattice parameters and positions (GGA-PBE) and a wavelength of 1.5418 Å.
Kinematic intensities with the Lorentz-polarization factor, no thermal factor.

Principal peaks in the range 15° ≤ 2θ ≤ 90°, sorted by position:
- 28.33 deg, d = 3.150 Å, intensity 239, hkl 1 2 0
- 31.50 deg, d = 2.840 Å, intensity 241, hkl 0 0 4
- 32.50 deg, d = 2.755 Å, intensity 1000, hkl 2 0 2
- 50.16 deg, d = 1.819 Å, intensity 200, hkl 3 2 0
- 56.73 deg, d = 1.623 Å, intensity 204, hkl 2 0 6
- 60.45 deg, d = 1.532 Å, intensity 224, hkl 3 2 4

```
data_NdYEr2
_space_group_name_H-M_alt 'P 1 2/c 1'
_space_group_IT_number 13
_space_group_name_Hall '-P 2yc'
_cell_length_a 6.296
_cell_length_b 7.279
_cell_length_c 11.359
_cell_angle_alpha 90.00
_cell_angle_beta 90.03
_cell_angle_gamma 90.00
loop_
_atom_site_label
_atom_site_type_symbol
_atom_site_fract_x
_atom_site_fract_y
_atom_site_fract_z
Nd1 Nd 0.167 0.247 0.377
Y1 Y 0.332 0.499 0.625
Er1 Er 0.167 0.248 0.873
Er2 Er 0.335 0.001 0.625
```

Diffraction record for NaAcCoH6. The powder diffraction line list is calculated, not measured: it uses DFT lattice parameters and positions (GGA-PBE) and a wavelength of 1.5418 Å.
Kinematic intensities with the Lorentz-polarization factor, no thermal factor.

Principal peaks in the range 15° ≤ 2θ ≤ 90°, sorted by position:
- 20.81 deg, d = 4.269 Å, intensity 568, hkl 1 0 0
- 29.00 deg, d = 3.079 Å, intensity 1000, hkl 0 1 1
- 36.46 deg, d = 2.464 Å, intensity 411, hkl 1 1 0
- 46.05 deg, d = 1.971 Å, intensity 272, hkl 1 0 2
- 47.24 deg, d = 1.924 Å, intensity 279, hkl 2 0 1
- 61.11 deg, d = 1.517 Å, intensity 250, hkl 1 2 1

```
data_NaAcCoH6
_space_group_name_H-M_alt 'P 3 m 1'
_space_group_IT_number 156
_space_group_name_Hall 'P 3 -2"'
_cell_length_a 4.9289
_cell_length_b 4.9289
_cell_length_c 4.4445
_cell_angle_alpha 90.00
_cell_angle_beta 90.00
_cell_angle_gamma 120.00
loop_
_atom_site_label
_atom_site_type_symbol
_atom_site_fract_x
_atom_site_fract_y
_atom_site_fract_z
Na1 Na 0.0000 0.0000 0.0000
Ac1 Ac 0.6667 0.3333 0.4985
Co1 Co 0.3333 0.6667 0.1897
H1 H 0.0146 0.5073 0.9949
H2 H 0.1815 0.3629 0.4014
```

Diffraction record for SmGaBi. The powder diffraction line list is calculated, not measured: it uses DFT lattice parameters and positions (GGA-PBE) and a wavelength of 1.5418 Å.
Kinematic intensities with the Lorentz-polarization factor, no thermal factor.

Principal peaks in the range 15° ≤ 2θ ≤ 90°, sorted by position:
- 32.52 deg, d = 2.753 Å, intensity 182, hkl 0 6 0
- 32.66 deg, d = 2.742 Å, intensity 1000, hkl 1 3 1
- 39.29 deg, d = 2.293 Å, intensity 171, hkl 2 0 0
- 41.38 deg, d = 2.182 Å, intensity 148, hkl 0 0 2
- 67.06 deg, d = 1.396 Å, intensity 128, hkl 3 3 1
- 69.98 deg, d = 1.344 Å, intensity 124, hkl 1 3 3

```
data_SmGaBi
_space_group_name_H-M_alt 'C m c m'
_space_group_IT_number 63
_space_group_name_Hall '-C 2c 2'
_cell_length_a 4.586
_cell_length_b 16.519
_cell_length_c 4.364
_cell_angle_alpha 90.00
_cell_angle_beta 90.00
_cell_angle_gamma 90.00
loop_
_atom_site_label
_atom_site_type_symbol
_atom_site_fract_x
_atom_site_fract_y
_atom_site_fract_z
Sm1 Sm 0.000 0.095 0.250
Ga1 Ga 0.000 0.457 0.250
Bi1 Bi 0.000 0.251 0.750
```